No. 1
This entry pairs a crystal structure of Sr2P3Pb3O13 with its calculated powder X-ray diffraction pattern. Radiation: Cu Ka. Structure: a PBE-relaxed structure.

Top 10 peaks for 2θ = 15–90°, by angle:
Position (°2θ), I (rel.)
21.57, 24
23.97, 20
26.16, 21
27.52, 19
30.08, 100
46.14, 30
47.83, 13
49.07, 26
57.18, 14
69.64, 14

Structural model:
```
data_Sr2P3Pb3O13
_cell_length_a 9.9025
_cell_length_b 9.9025
_cell_length_c 7.4251
_cell_angle_alpha 90.00
_cell_angle_beta 90.00
_cell_angle_gamma 120.00
_symmetry_space_group_name_H-M 'P 63/m'
_symmetry_Int_Tables_number 176
_symmetry_space_group_name_Hall '-P 6c'
loop_
_atom_site_label
_atom_site_type_symbol
_atom_site_fract_x
_atom_site_fract_y
_atom_site_fract_z
Sr1 Sr 0.3333 0.6667 0.0035
P1 P 0.0316 0.6260 0.7500
Pb1 Pb 0.0056 0.2385 0.7500
O1 O 0.0000 0.0000 0.2500
O2 O 0.0860 0.7359 0.5811
O3 O 0.1247 0.5368 0.7500
O4 O 0.1456 0.4883 0.2500
```



No. 2
This entry pairs a crystal structure of Zn3Te2P2Pb2O14 with its calculated powder X-ray diffraction pattern. Radiation: Cu Ka. Structure: a PBE-relaxed structure.

Top 10 peaks for 2θ = 15–90°, by angle:
Position (°2θ), I (rel.)
16.63, 32
26.48, 100
28.45, 89
30.16, 98
30.64, 24
30.95, 29
33.63, 33
42.35, 23
46.35, 25
55.45, 20

Structural model:
```
data_Zn3Te2P2Pb2O14
_cell_length_a 5.3297
_cell_length_b 8.0347
_cell_length_c 15.4826
_cell_angle_alpha 90.00
_cell_angle_beta 90.04
_cell_angle_gamma 90.00
_symmetry_space_group_name_H-M 'P 1 21/c 1'
_symmetry_Int_Tables_number 14
_symmetry_space_group_name_Hall '-P 2ybc'
loop_
_atom_site_label
_atom_site_type_symbol
_atom_site_fract_x
_atom_site_fract_y
_atom_site_fract_z
Zn1 Zn 0.0000 0.0000 0.0000
Zn2 Zn 0.0099 0.1086 0.3839
Te1 Te 0.4854 0.2214 0.5105
P1 P 0.0415 0.2361 0.1913
Pb1 Pb 0.4966 0.5637 0.6982
O1 O 0.1112 0.1004 0.1240
O2 O 0.1531 0.0936 0.6621
O3 O 0.1869 0.1928 0.2774
O4 O 0.2443 0.7409 0.2930
O5 O 0.2503 0.7397 0.5719
O6 O 0.2917 0.1112 0.9485
O7 O 0.2960 0.0447 0.4579
```



No. 3
This entry pairs a crystal structure of TlPPbO4 with its calculated powder X-ray diffraction pattern. Radiation: Cu Ka. Structure: a PBE-relaxed structure.

Top 10 peaks for 2θ = 15–90°, by angle:
Position (°2θ), I (rel.)
21.54, 100
22.37, 40
28.91, 66
29.92, 31
31.36, 35
33.45, 45
33.65, 19
38.86, 27
43.89, 26
46.65, 17

Structural model:
```
data_TlPPbO4
_cell_length_a 6.6001
_cell_length_b 5.7051
_cell_length_c 7.9916
_cell_angle_alpha 90.00
_cell_angle_beta 113.17
_cell_angle_gamma 90.00
_symmetry_space_group_name_H-M 'P 1 21/m 1'
_symmetry_Int_Tables_number 11
_symmetry_space_group_name_Hall '-P 2yb'
loop_
_atom_site_label
_atom_site_type_symbol
_atom_site_fract_x
_atom_site_fract_y
_atom_site_fract_z
Tl1 Tl 0.1064 0.2500 0.3937
P1 P 0.1265 0.2500 0.8558
Pb1 Pb 0.3254 0.7500 0.0859
O1 O 0.0948 0.2500 0.0390
O2 O 0.1000 0.7500 0.3080
O3 O 0.2626 0.0280 0.8452
```